Calculated PXRD pattern of SiGePt2 for a wavelength of 1.5418 Å, from DFT lattice parameters and positions (PBE).
Neutral-atom scattering factors, no anomalous dispersion.

Structural model:
Lattice parameters (Å, degrees): 5.729 3.686 6.119 90.00 90.32 90.00
Space group P2_1/m (No. 11)
Symmetry-distinct sites (fractional):
Si1 0.185 0.250 0.418 x2
Ge1 0.316 0.750 0.913 x2
Pt1 0.006 0.750 0.209 x2
Pt2 0.499 0.750 0.318 x2

Largest 6 diffraction maxima, in order of rising 2θ, 10° ≤ 2θ ≤ 90°:
2θ/deg, I (rel.), index
28.27, 100, 0 1 1
29.19, 29, 0 0 2
31.22, 40, 2 0 0
41.53, 32, 1 1 2
42.55, 64, 2 1 -1
42.68, 49, 2 1 1

Calculated PXRD pattern of SrSiGe2Pt for a wavelength of 1.5418 Å, from DFT lattice parameters and positions (PBE).
Neutral-atom scattering factors, no anomalous dispersion.

Structural model:
Lattice parameters (Å, degrees): 4.485 4.485 10.070 90.00 90.00 90.00
Space group I4mm (No. 107)
Symmetry-distinct sites (fractional):
Sr1 0.000 0.000 0.000 x2
Si1 0.000 0.000 0.400 x2
Ge1 0.000 0.500 0.257 x4
Pt1 0.000 0.000 0.636 x2

Largest 6 diffraction maxima, in order of rising 2θ, 10° ≤ 2θ ≤ 90°:
2θ/deg, I (rel.), index
17.61, 22, 0 0 2
21.69, 38, 1 0 1
33.37, 100, 1 1 2
40.22, 42, 2 0 0
46.03, 22, 1 1 4
53.20, 26, 2 1 3

Calculated PXRD pattern of Tm2SiGePt for a wavelength of 1.5418 Å, from DFT lattice parameters and positions (PBE).
Neutral-atom scattering factors, no anomalous dispersion.

Structural model:
Lattice parameters (Å, degrees): 10.304 4.250 10.160 90.00 117.65 90.00
Space group C2/m (No. 12)
Symmetry-distinct sites (fractional):
Tm1 0.006 0.000 0.329 x4
Tm2 0.185 0.000 0.114 x4
Si1 0.137 0.500 0.560 x4
Ge1 0.030 0.500 0.886 x4
Pt1 0.229 0.500 0.350 x4

Largest 6 diffraction maxima, in order of rising 2θ, 10° ≤ 2θ ≤ 90°:
2θ/deg, I (rel.), index
27.37, 48, 1 1 -2
33.45, 100, 1 1 2
34.12, 95, 3 1 -2
37.39, 65, 3 1 -3
41.32, 86, 3 1 1
42.55, 57, 0 2 0

Calculated PXRD pattern of Y2SiGePt for a wavelength of 1.5418 Å, from DFT lattice parameters and positions (PBE).
Neutral-atom scattering factors, no anomalous dispersion.

Structural model:
Lattice parameters (Å, degrees): 10.464 4.287 10.303 90.00 117.86 90.00
Space group C2/m (No. 12)
Symmetry-distinct sites (fractional):
Y1 0.005 0.000 0.328 x4
Y2 0.186 0.000 0.113 x4
Si1 0.139 0.500 0.560 x4
Ge1 0.027 0.500 0.884 x4
Pt1 0.230 0.500 0.353 x4

Largest 6 diffraction maxima, in order of rising 2θ, 10° ≤ 2θ ≤ 90°:
2θ/deg, I (rel.), index
27.07, 64, 1 1 -2
33.10, 100, 1 1 2
33.69, 77, 3 1 -2
36.87, 68, 3 1 -3
40.85, 79, 3 1 1
42.16, 56, 0 2 0

Calculated PXRD pattern of Sm3Ge6Pt4 for a wavelength of 1.5418 Å, from DFT lattice parameters and positions (PBE).
Neutral-atom scattering factors, no anomalous dispersion.

Structural model:
Lattice parameters (Å, degrees): 26.281 4.417 8.873 90.00 90.00 90.00
Space group Pnma (No. 62)
Symmetry-distinct sites (fractional):
Sm1 0.093 0.250 0.116 x4
Sm2 0.093 0.250 0.634 x4
Sm3 0.220 0.250 0.875 x4
Ge1 0.001 0.250 0.379 x4
Ge2 0.003 0.750 0.127 x4
Ge3 0.138 0.750 0.874 x4
Ge4 0.142 0.750 0.373 x4
Ge5 0.215 0.250 0.227 x4
Ge6 0.215 0.250 0.523 x4
Pt1 0.044 0.750 0.872 x4
Pt2 0.049 0.750 0.378 x4
Pt3 0.187 0.750 0.122 x4
Pt4 0.187 0.750 0.624 x4

Largest 6 diffraction maxima, in order of rising 2θ, 10° ≤ 2θ ≤ 90°:
2θ/deg, I (rel.), index
28.72, 40, 1 1 2
33.31, 100, 5 1 2
34.01, 58, 8 1 0
36.85, 42, 9 0 2
40.67, 35, 0 0 4
40.86, 50, 0 2 0

Calculated PXRD pattern of SmY2Ge4Pt4 for a wavelength of 1.5418 Å, from DFT lattice parameters and positions (PBE).
Neutral-atom scattering factors, no anomalous dispersion.

Structural model:
Lattice parameters (Å, degrees): 4.203 7.163 13.933 90.00 90.00 90.00
Space group Immm (No. 71)
Symmetry-distinct sites (fractional):
Sm1 0.000 0.000 0.000 x2
Y1 0.000 0.500 0.125 x4
Ge1 0.000 0.000 0.219 x4
Ge2 0.000 0.187 0.500 x4
Pt1 0.000 0.297 0.325 x8

Largest 6 diffraction maxima, in order of rising 2θ, 10° ≤ 2θ ≤ 90°:
2θ/deg, I (rel.), index
33.50, 100, 1 2 1
35.75, 55, 1 1 4
38.28, 49, 1 2 3
38.78, 52, 0 0 6
43.04, 50, 2 0 0
46.61, 55, 1 2 5